1.
# Li2Co4OF8
Theoretical XRD peak list, Cu Kα (weighted mean of Kα1 and Kα2). Input: a structure optimized by DFT (PBE+U).

Largest 10 diffraction maxima, low angle first, 10 to 80 degrees two-theta:
6.303 Å, 14.0°, intensity 87; 6.247 Å, 14.2°, intensity 100; 5.464 Å, 16.2°, intensity 52; 4.874 Å, 18.2°, intensity 34; 3.783 Å, 23.5°, intensity 76; 3.123 Å, 28.6°, intensity 33; 2.932 Å, 30.5°, intensity 82; 2.858 Å, 31.3°, intensity 47; 2.410 Å, 37.3°, intensity 34; 2.273 Å, 39.7°, intensity 34

Atomic structure:
```
data_Li2Co4OF8
_cell_length_a 6.8556
_cell_length_b 7.8145
_cell_length_c 8.3927
_cell_angle_alpha 69.43
_cell_angle_beta 66.96
_cell_angle_gamma 80.04
_symmetry_space_group_name_H-M 'P 1'
_symmetry_Int_Tables_number 1
loop_
_symmetry_equiv_pos_as_xyz
'x,y,z'
loop_
_atom_site_label
_atom_site_type_symbol
_atom_site_fract_x
_atom_site_fract_y
_atom_site_fract_z
Li1 Li 0.1128 0.2632 0.4123
Li2 Li 0.2633 0.7641 0.8706
Li3 Li 0.7367 0.2359 0.1294
Li4 Li 0.8872 0.7368 0.5877
Co1 Co 0.1770 0.4074 0.7496
Co2 Co 0.2866 0.0998 0.0420
Co3 Co 0.3610 0.6052 0.2670
Co4 Co 0.4464 0.8737 0.4153
Co5 Co 0.5536 0.1263 0.5847
Co6 Co 0.6390 0.3948 0.7330
Co7 Co 0.7134 0.9002 0.9580
Co8 Co 0.8230 0.5926 0.2504
O1 O 0.4160 0.2248 0.7834
O2 O 0.5840 0.7752 0.2166
F1 F 0.0283 0.2451 0.0205
F2 F 0.1219 0.5051 0.2419
F3 F 0.1935 0.7118 0.4871
F4 F 0.2657 0.0944 0.2839
F5 F 0.2822 0.3557 0.5021
F6 F 0.3191 0.8386 0.0430
F7 F 0.3281 0.9478 0.6422
F8 F 0.3590 0.5505 0.8063
F9 F 0.6410 0.4495 0.1937
F10 F 0.6719 0.0522 0.3578
F11 F 0.6809 0.1614 0.9570
F12 F 0.7178 0.6443 0.4979
F13 F 0.7343 0.9056 0.7161
F14 F 0.8065 0.2882 0.5129
F15 F 0.8781 0.4949 0.7581
F16 F 0.9717 0.7549 0.9795
```

2.
# LiCoPO4
Theoretical XRD peak list, Cu Kα (weighted mean of Kα1 and Kα2). Input: a structure optimized by DFT (PBE+U).

Largest 10 diffraction maxima, low angle first, 10 to 80 degrees two-theta:
4.117 Å, 21.6°, intensity 100; 4.042 Å, 22.0°, intensity 20; 3.257 Å, 27.4°, intensity 43; 3.231 Å, 27.6°, intensity 8; 2.868 Å, 31.2°, intensity 10; 2.557 Å, 35.1°, intensity 19; 2.476 Å, 36.3°, intensity 8; 2.381 Å, 37.8°, intensity 14; 2.162 Å, 41.8°, intensity 8; 2.004 Å, 45.2°, intensity 9

Atomic structure:
```
data_LiCoPO4
_cell_length_a 8.6582
_cell_length_b 5.1131
_cell_length_c 8.4925
_cell_angle_alpha 90.00
_cell_angle_beta 107.85
_cell_angle_gamma 90.00
_symmetry_space_group_name_H-M 'P 1'
_symmetry_Int_Tables_number 1
loop_
_symmetry_equiv_pos_as_xyz
'x,y,z'
loop_
_atom_site_label
_atom_site_type_symbol
_atom_site_fract_x
_atom_site_fract_y
_atom_site_fract_z
Li1 Li 0.0000 0.1763 0.0000
Li2 Li 0.0000 0.8237 0.5000
Li3 Li 0.4904 0.3175 0.3644
Li4 Li 0.4904 0.6825 0.8644
Co1 Co 0.2443 0.1803 0.7594
Co2 Co 0.2443 0.8197 0.2594
Co3 Co 0.7382 0.3204 0.1260
Co4 Co 0.7382 0.6796 0.6260
P1 P 0.1208 0.3129 0.3758
P2 P 0.1208 0.6871 0.8758
P3 P 0.6169 0.1887 0.7524
P4 P 0.6169 0.8113 0.2524
O1 O 0.0945 0.1823 0.5307
O2 O 0.0945 0.8177 0.0307
O3 O 0.1467 0.3878 0.9044
O4 O 0.1467 0.6122 0.4044
O5 O 0.2715 0.1903 0.3396
O6 O 0.2715 0.8097 0.8396
O7 O 0.4670 0.3050 0.7926
O8 O 0.4670 0.6950 0.2926
O9 O 0.5945 0.1104 0.2209
O10 O 0.5945 0.8896 0.7209
O11 O 0.6402 0.3244 0.5974
O12 O 0.6402 0.6756 0.0974
O13 O 0.7670 0.2479 0.9043
O14 O 0.7670 0.7521 0.4043
O15 O 0.9724 0.2523 0.2234
O16 O 0.9724 0.7477 0.7234
```

3.
# WCl4O
Theoretical XRD peak list, Cu Kα (weighted mean of Kα1 and Kα2). Input: a structure optimized by DFT (PBE+U).

Largest 10 diffraction maxima, low angle first, 10 to 80 degrees two-theta:
6.442 Å, 13.7°, intensity 100; 4.555 Å, 19.5°, intensity 34; 3.590 Å, 24.8°, intensity 67; 2.881 Å, 31.0°, intensity 33; 2.820 Å, 31.7°, intensity 18; 2.397 Å, 37.5°, intensity 15; 2.122 Å, 42.6°, intensity 13; 2.037 Å, 44.5°, intensity 16; 1.923 Å, 47.3°, intensity 25; 1.651 Å, 55.7°, intensity 14

Atomic structure:
```
data_WCl4O
_cell_length_a 6.7312
_cell_length_b 6.7312
_cell_length_c 6.7312
_cell_angle_alpha 94.83
_cell_angle_beta 94.83
_cell_angle_gamma 146.27
_symmetry_space_group_name_H-M 'P 1'
_symmetry_Int_Tables_number 1
loop_
_symmetry_equiv_pos_as_xyz
'x,y,z'
loop_
_atom_site_label
_atom_site_type_symbol
_atom_site_fract_x
_atom_site_fract_y
_atom_site_fract_z
W1 W 0.0000 0.0000 0.0000
Cl1 Cl 0.1188 0.3022 0.3094
Cl2 Cl 0.3022 0.9928 0.1834
Cl3 Cl 0.8094 0.1188 0.8166
Cl4 Cl 0.9928 0.8094 0.6906
O1 O 0.5375 0.5375 0.0000
```

4.
# Li9Co7O16
Theoretical XRD peak list, Cu Kα (weighted mean of Kα1 and Kα2). Input: a structure optimized by DFT (PBE+U).

Largest 10 diffraction maxima, low angle first, 10 to 80 degrees two-theta:
4.797 Å, 18.5°, intensity 100; 2.497 Å, 36.0°, intensity 14; 2.475 Å, 36.3°, intensity 27; 2.379 Å, 37.8°, intensity 12; 2.082 Å, 43.5°, intensity 28; 2.056 Å, 44.1°, intensity 53; 1.900 Å, 47.9°, intensity 9; 1.587 Å, 58.1°, intensity 10; 1.467 Å, 63.4°, intensity 15; 1.458 Å, 63.8°, intensity 22

Atomic structure:
```
data_Li9Co7O16
_cell_length_a 7.6954
_cell_length_b 7.6954
_cell_length_c 5.1046
_cell_angle_alpha 102.99
_cell_angle_beta 102.99
_cell_angle_gamma 97.76
_symmetry_space_group_name_H-M 'P 1'
_symmetry_Int_Tables_number 1
loop_
_symmetry_equiv_pos_as_xyz
'x,y,z'
loop_
_atom_site_label
_atom_site_type_symbol
_atom_site_fract_x
_atom_site_fract_y
_atom_site_fract_z
Li1 Li 0.0000 0.0000 0.0000
Li2 Li 0.0000 0.5000 0.5000
Li3 Li 0.1216 0.8784 0.5000
Li4 Li 0.2462 0.2462 0.4910
Li5 Li 0.3745 0.6255 0.5000
Li6 Li 0.5000 0.0000 0.5000
Li7 Li 0.6255 0.3745 0.5000
Li8 Li 0.7538 0.7538 0.5090
Li9 Li 0.8784 0.1216 0.5000
Co1 Co 0.1224 0.3695 0.9999
Co2 Co 0.2482 0.7518 0.0000
Co3 Co 0.3695 0.1224 0.9999
Co4 Co 0.5000 0.5000 0.0000
Co5 Co 0.6305 0.8776 0.0001
Co6 Co 0.7518 0.2482 0.0000
Co7 Co 0.8776 0.6305 0.0001
O1 O 0.0177 0.7432 0.7748
O2 O 0.1304 0.6265 0.2192
O3 O 0.1400 0.1400 0.7647
O4 O 0.2528 0.5164 0.7779
O5 O 0.2568 0.9823 0.2252
O6 O 0.3735 0.8696 0.7808
O7 O 0.3745 0.3745 0.2364
O8 O 0.4836 0.7472 0.2221
O9 O 0.5164 0.2528 0.7779
O10 O 0.6255 0.6255 0.7636
O11 O 0.6265 0.1304 0.2192
O12 O 0.7432 0.0177 0.7748
O13 O 0.7472 0.4836 0.2221
O14 O 0.8600 0.8600 0.2353
O15 O 0.8696 0.3735 0.7808
O16 O 0.9823 0.2568 0.2252
```

5.
# CrMoF6
Theoretical XRD peak list, Cu Kα (weighted mean of Kα1 and Kα2). Input: a structure optimized by DFT (PBE+U).

Largest 10 diffraction maxima, low angle first, 10 to 80 degrees two-theta:
3.816 Å, 23.3°, intensity 100; 2.781 Å, 32.2°, intensity 28; 2.623 Å, 34.2°, intensity 12; 2.289 Å, 39.4°, intensity 19; 2.162 Å, 41.8°, intensity 10; 1.908 Å, 47.7°, intensity 16; 1.748 Å, 52.3°, intensity 29; 1.668 Å, 55.0°, intensity 14; 1.543 Å, 59.9°, intensity 11; 1.514 Å, 61.2°, intensity 12

Atomic structure:
```
data_CrMoF6
_cell_length_a 5.5822
_cell_length_b 5.5822
_cell_length_c 5.5822
_cell_angle_alpha 56.06
_cell_angle_beta 56.06
_cell_angle_gamma 56.06
_symmetry_space_group_name_H-M 'P 1'
_symmetry_Int_Tables_number 1
loop_
_symmetry_equiv_pos_as_xyz
'x,y,z'
loop_
_atom_site_label
_atom_site_type_symbol
_atom_site_fract_x
_atom_site_fract_y
_atom_site_fract_z
Cr1 Cr 0.0000 0.0000 0.0000
Mo1 Mo 0.5000 0.5000 0.5000
F1 F 0.1121 0.3664 0.7623
F2 F 0.2377 0.8879 0.6336
F3 F 0.3664 0.7623 0.1121
F4 F 0.6336 0.2377 0.8879
F5 F 0.7623 0.1121 0.3664
F6 F 0.8879 0.6336 0.2377
```